1.
This entry pairs a crystal structure of Rb2AlInF6 with its theoretical PXRD pattern. Radiation: Cu Kα. Structure: a PBE-relaxed structure.

Top 10 peaks for 2θ from 15° to 90°, sorted by position:
- hkl 1 1 1, 17.1°, d 5.191, rel. 7.2
- hkl 2 2 0, 28.1°, d 3.179, rel. 100.0
- hkl 3 1 1, 33.0°, d 2.711, rel. 14.8
- hkl 2 2 2, 34.6°, d 2.596, rel. 7.7
- hkl 4 0 0, 40.1°, d 2.248, rel. 38.0
- hkl 3 3 1, 43.9°, d 2.063, rel. 12.8
- hkl 4 2 2, 49.7°, d 1.835, rel. 35.2
- hkl 4 4 0, 58.0°, d 1.590, rel. 21.4
- hkl 6 2 0, 65.7°, d 1.422, rel. 21.6
- hkl 6 4 2, 79.8°, d 1.202, rel. 22.4

```
data_Rb2AlInF6
_space_group_name_H-M_alt 'F m -3 m'
_space_group_IT_number 225
_space_group_name_Hall '-F 4 2 3'
_cell_length_a 8.9917
_cell_length_b 8.9917
_cell_length_c 8.9917
_cell_angle_alpha 90.00
_cell_angle_beta 90.00
_cell_angle_gamma 90.00
loop_
_atom_site_label
_atom_site_fract_x
_atom_site_fract_y
_atom_site_fract_z
Rb1 0.2500 0.2500 0.2500
Al1 0.0000 0.0000 0.0000
In1 0.0000 0.0000 0.5000
F1 0.0000 0.0000 0.2051
```

2.
This entry pairs a crystal structure of K2AlF5 with its theoretical PXRD pattern. Radiation: Cu Kα. Structure: a PBE-relaxed structure.

Top 10 peaks for 2θ from 15° to 90°, sorted by position:
- hkl 1 1 0, 20.8°, d 4.269, rel. 11.5
- hkl 2 0 0, 29.6°, d 3.018, rel. 16.8
- hkl 1 1 1, 31.8°, d 2.818, rel. 72.9
- hkl 2 0 1, 38.3°, d 2.352, rel. 100.0
- hkl 2 2 0, 42.3°, d 2.134, rel. 63.3
- hkl 0 0 2, 48.5°, d 1.876, rel. 23.5
- hkl 3 1 1, 53.9°, d 1.701, rel. 20.0
- hkl 3 2 0, 54.8°, d 1.674, rel. 12.2
- hkl 4 0 0, 61.4°, d 1.509, rel. 14.7
- hkl 2 2 2, 66.3°, d 1.409, rel. 26.4

```
data_K2AlF5
_space_group_name_H-M_alt 'P 4/m m m'
_space_group_IT_number 123
_space_group_name_Hall '-P 4 2'
_cell_length_a 6.0370
_cell_length_b 6.0370
_cell_length_c 3.7518
_cell_angle_alpha 90.00
_cell_angle_beta 90.00
_cell_angle_gamma 90.00
loop_
_atom_site_label
_atom_site_fract_x
_atom_site_fract_y
_atom_site_fract_z
K1 0.0000 0.5000 0.0000
Al1 0.0000 0.0000 0.5000
F1 0.0000 0.0000 0.0000
F2 0.2121 0.2121 0.5000
```

3.
This entry pairs a crystal structure of KAlF4 with its theoretical PXRD pattern. Radiation: Cu Kα. Structure: a PBE-relaxed structure.

Top 10 peaks for 2θ from 15° to 90°, sorted by position:
- hkl 1 0 2, 18.1°, d 4.904, rel. 50.1
- hkl 1 1 2, 21.8°, d 4.081, rel. 25.7
- hkl 2 1 0, 24.4°, d 3.644, rel. 46.1
- hkl 0 1 3, 25.2°, d 3.534, rel. 42.8
- hkl 1 2 1, 27.5°, d 3.246, rel. 29.6
- hkl 2 2 3, 39.5°, d 2.281, rel. 100.0
- hkl 4 0 0, 43.1°, d 2.097, rel. 51.2
- hkl 0 0 6, 45.0°, d 2.015, rel. 42.3
- hkl 0 4 0, 49.5°, d 1.840, rel. 38.8
- hkl 4 4 0, 67.8°, d 1.383, rel. 18.9

```
data_KAlF4
_space_group_name_H-M_alt 'P n m a'
_space_group_IT_number 62
_cell_length_a 8.3890
_cell_length_b 7.3595
_cell_length_c 12.0888
_cell_angle_alpha 90.00
_cell_angle_beta 90.00
_cell_angle_gamma 90.00
loop_
_space_group_symop_operation_xyz
'x,y,z'
'-x,-y,-z'
'-x+1/2,-y,z+1/2'
'x+1/2,y,-z+1/2'
'x+1/2,-y+1/2,-z+1/2'
'-x+1/2,y+1/2,z+1/2'
'-x,y+1/2,-z'
'x,-y+1/2,z'
loop_
_atom_site_label
_atom_site_fract_x
_atom_site_fract_y
_atom_site_fract_z
K1 0.0751 0.2500 0.1052
K2 0.1272 0.2500 0.7497
Al1 0.1308 0.0039 0.4181
F1 0.0953 0.5054 0.5722
F2 0.1167 0.7500 0.4154
F3 0.1210 0.0012 0.2721
F4 0.1337 0.2500 0.4290
F5 0.1610 0.0113 0.9327
```

4.
This entry pairs a crystal structure of KAlF4 with its theoretical PXRD pattern. Radiation: Cu Kα. Structure: a PBE-relaxed structure.

Top 10 peaks for 2θ from 15° to 90°, sorted by position:
- hkl 1 0 1, 28.1°, d 3.173, rel. 100.0
- hkl 0 0 2, 28.4°, d 3.142, rel. 35.9
- hkl 1 1 0, 34.5°, d 2.600, rel. 36.8
- hkl 1 1 1, 37.4°, d 2.402, rel. 47.5
- hkl 1 0 2, 37.7°, d 2.389, rel. 29.6
- hkl 2 0 0, 49.6°, d 1.838, rel. 53.1
- hkl 1 0 3, 50.1°, d 1.820, rel. 41.4
- hkl 2 1 1, 58.0°, d 1.591, rel. 22.7
- hkl 2 1 3, 73.2°, d 1.293, rel. 23.1
- hkl 2 0 4, 80.4°, d 1.194, rel. 16.2

```
data_KAlF4
_space_group_name_H-M_alt 'P 4/m m m'
_space_group_IT_number 123
_space_group_name_Hall '-P 4 2'
_cell_length_a 3.6769
_cell_length_b 3.6769
_cell_length_c 6.2834
_cell_angle_alpha 90.00
_cell_angle_beta 90.00
_cell_angle_gamma 90.00
loop_
_atom_site_label
_atom_site_fract_x
_atom_site_fract_y
_atom_site_fract_z
K1 0.0000 0.0000 0.0000
Al1 0.5000 0.5000 0.5000
F1 0.0000 0.5000 0.5000
F2 0.5000 0.5000 0.2150
```